Simulated X-ray powder pattern of Na2SrV2CoO8 for a wavelength of 1.5418 Å, from a crystal structure in Alexandria, relaxed with GGA+U.
Neutral-atom scattering factors, no anomalous dispersion.

Crystal structure
```
data_Na2SrV2CoO8
_space_group_name_H-M_alt 'P 1 21/c 1'
_space_group_IT_number 14
_cell_length_a 13.8394
_cell_length_b 5.5858
_cell_length_c 9.6691
_cell_angle_alpha 90.00
_cell_angle_beta 90.02
_cell_angle_gamma 90.00
loop_
_space_group_symop_operation_xyz
'x,y,z'
'-x,-y,-z'
'-x,y+1/2,-z+1/2'
'x,-y+1/2,z+1/2'
loop_
_atom_site_label
_atom_site_type_symbol
_atom_site_fract_x
_atom_site_fract_y
_atom_site_fract_z
_atom_site_occupancy
Na1 Na 0.0844 0.0322 0.3507 1
Na2 Na 0.4154 0.5310 0.1808 1
Sr1 Sr 0.2509 0.0612 0.0411 1
V1 V 0.1339 0.5352 0.1843 1
V2 V 0.3662 0.5189 0.8527 1
Co1 Co 0.0000 0.0000 0.0000 1
Co2 Co 0.5000 0.0000 0.0000 1
O1 O 0.0725 0.1894 0.5942 1
O2 O 0.0852 0.6900 0.6334 1
O3 O 0.1172 0.5007 0.3639 1
O4 O 0.2488 0.0553 0.3143 1
O5 O 0.2529 0.5219 0.1360 1
O6 O 0.3803 0.6912 0.4219 1
O7 O 0.4161 0.1962 0.4635 1
O8 O 0.4292 0.5144 0.6962 1
```

Largest 12 diffraction maxima, in order of rising 2θ, 2θ from 10° to 90°:
2θ/deg, d (Å), I/Imax
18.35, 4.836, 24
22.43, 3.964, 39
31.80, 2.814, 90
32.06, 2.792, 100
37.44, 2.402, 9
38.83, 2.319, 9
42.20, 2.141, 12
45.78, 1.982, 40
53.97, 1.699, 8
56.98, 1.616, 21
57.13, 1.612, 12
63.23, 1.471, 17